No. 1
Sr4MnN4: theoretical powder diffraction line list (Cu Kα, 1.54184 Å), based on a DFT-relaxed cell (GGA-PBE, the Materials Project).

Top 10 peaks for 10 to 90 degrees two-theta, in order of rising 2θ:
d = 3.515 Å, 2θ = 25.34°, rel. 10, hkl 1 1 -2
d = 3.373 Å, 2θ = 26.42°, rel. 12, hkl 1 -1 2
d = 3.053 Å, 2θ = 29.25°, rel. 100, hkl 2 0 0
d = 3.030 Å, 2θ = 29.47°, rel. 14, hkl 0 2 -2
d = 2.949 Å, 2θ = 30.31°, rel. 22, hkl 0 1 -3
d = 2.851 Å, 2θ = 31.38°, rel. 19, hkl 1 2 -1
d = 2.668 Å, 2θ = 33.58°, rel. 34, hkl 1 1 2
d = 2.045 Å, 2θ = 44.28°, rel. 15, hkl 2 -1 3
d = 1.861 Å, 2θ = 48.94°, rel. 9, hkl -3 1 2
d = 1.580 Å, 2θ = 58.39°, rel. 10, hkl 0 3 -5

Atomic structure:
```
data_Sr4MnN4
_symmetry_space_group_name_H-M 'P -1'
_symmetry_Int_Tables_number 2
_cell_length_a 6.1970
_cell_length_b 6.7959
_cell_length_c 9.0212
_cell_angle_alpha 105.38
_cell_angle_beta 95.73
_cell_angle_gamma 95.54
loop_
_symmetry_equiv_pos_as_xyz
'x,y,z'
'-x,-y,-z'
loop_
_atom_site_label
_atom_site_type_symbol
_atom_site_fract_x
_atom_site_fract_y
_atom_site_fract_z
Sr1 Sr 0.2274 0.4714 0.3699
Sr2 Sr 0.2558 0.3827 0.9077
Sr3 Sr 0.2619 0.9744 0.1049
Sr4 Sr 0.2670 0.0801 0.5574
Mn1 Mn 0.2984 0.7247 0.7371
N1 N 0.0941 0.8931 0.7783
N2 N 0.1828 0.4658 0.6506
N3 N 0.4626 0.7245 0.9109
N4 N 0.4769 0.8058 0.6151
```

---

No. 2
K2CeF6: theoretical powder diffraction line list (Cu Kα, 1.54184 Å), based on a DFT-relaxed cell (GGA-PBE, the Materials Project).

Top 10 peaks for 10 to 90 degrees two-theta, in order of rising 2θ:
d = 5.744 Å, 2θ = 15.43°, rel. 100, hkl 1 0 0
d = 3.316 Å, 2θ = 26.89°, rel. 57, hkl 1 1 0
d = 3.148 Å, 2θ = 28.35°, rel. 74, hkl 1 0 1
d = 2.488 Å, 2θ = 36.10°, rel. 15, hkl 1 1 1
d = 2.283 Å, 2θ = 39.47°, rel. 51, hkl 2 0 1
d = 1.915 Å, 2θ = 47.49°, rel. 28, hkl 3 0 0
d = 1.881 Å, 2θ = 48.39°, rel. 72, hkl 0 0 2
d = 1.467 Å, 2θ = 63.40°, rel. 17, hkl 3 1 1
d = 1.342 Å, 2θ = 70.12°, rel. 20, hkl 3 0 2
d = 1.244 Å, 2θ = 76.60°, rel. 19, hkl 3 2 1

Atomic structure:
```
data_K2CeF6
_symmetry_space_group_name_H-M 'P -6 2 m'
_symmetry_Int_Tables_number 189
_symmetry_space_group_name_Hall 'P -6 -2'
_cell_length_a 6.6324
_cell_length_b 6.6324
_cell_length_c 3.7642
_cell_angle_alpha 90.00
_cell_angle_beta 90.00
_cell_angle_gamma 120.00
loop_
_atom_site_label
_atom_site_type_symbol
_atom_site_fract_x
_atom_site_fract_y
_atom_site_fract_z
K1 K 0.3333 0.6667 0.0000
Ce1 Ce 0.0000 0.0000 0.5000
F1 F 0.0000 0.2277 0.0000
F2 F 0.0000 0.6625 0.5000
```

---

No. 3
Mg7Si4: theoretical powder diffraction line list (Cu Kα, 1.54184 Å), based on a DFT-relaxed cell (GGA-PBE, the Materials Project).

Top 10 peaks for 10 to 90 degrees two-theta, in order of rising 2θ:
d = 2.690 Å, 2θ = 33.30°, rel. 53, hkl 1 0 -4
d = 2.650 Å, 2θ = 33.83°, rel. 34, hkl 0 1 -4
d = 2.604 Å, 2θ = 34.44°, rel. 100, hkl 2 0 -1
d = 2.541 Å, 2θ = 35.32°, rel. 47, hkl 0 2 -2
d = 2.535 Å, 2θ = 35.40°, rel. 36, hkl 1 2 3
d = 2.497 Å, 2θ = 35.97°, rel. 32, hkl 2 1 1
d = 2.466 Å, 2θ = 36.44°, rel. 38, hkl 1 1 5
d = 2.355 Å, 2θ = 38.21°, rel. 29, hkl 1 -2 2
d = 2.173 Å, 2θ = 41.57°, rel. 39, hkl 2 -1 3
d = 1.992 Å, 2θ = 45.53°, rel. 36, hkl -1 1 6

Atomic structure:
```
data_Mg7Si4
_symmetry_space_group_name_H-M 'P 1'
_symmetry_Int_Tables_number 1
_cell_length_a 5.4530
_cell_length_b 6.2070
_cell_length_c 13.5597
_cell_angle_alpha 77.13
_cell_angle_beta 84.12
_cell_angle_gamma 89.96
loop_
_symmetry_equiv_pos_as_xyz
'x,y,z'
loop_
_atom_site_label
_atom_site_type_symbol
_atom_site_fract_x
_atom_site_fract_y
_atom_site_fract_z
Mg1 Mg 0.0000 0.0000 0.0000
Mg2 Mg 0.0011 0.3717 0.1777
Mg3 Mg 0.2641 0.8204 0.7992
Mg4 Mg 0.2748 0.4526 0.6260
Mg5 Mg 0.2907 0.9640 0.5707
Mg6 Mg 0.4413 0.3105 0.8448
Mg7 Mg 0.5062 0.1656 0.1087
Mg8 Mg 0.5285 0.6384 0.1599
Mg9 Mg 0.6455 0.5197 0.4247
Mg10 Mg 0.7603 0.6824 0.6662
Mg11 Mg 0.7636 0.1961 0.6256
Mg12 Mg 0.7716 0.0235 0.4283
Mg13 Mg 0.8286 0.5218 0.9474
Mg14 Mg 0.9866 0.8464 0.2362
Si1 Si 0.1120 0.3326 0.4472
Si2 Si 0.1402 0.7206 0.4383
Si3 Si 0.3040 0.5458 0.9937
Si4 Si 0.4001 0.2698 0.3087
Si5 Si 0.4610 0.8893 0.3043
Si6 Si 0.5002 0.9023 0.9725
Si7 Si 0.7696 0.9287 0.8163
Si8 Si 0.9631 0.2894 0.7961
```

---

No. 4
HgS: theoretical powder diffraction line list (Cu Kα, 1.54184 Å), based on a DFT-relaxed cell (GGA-PBE, the Materials Project).

Top 10 peaks for 10 to 90 degrees two-theta, in order of rising 2θ:
d = 3.570 Å, 2θ = 24.94°, rel. 100, hkl 0 1 1
d = 3.249 Å, 2θ = 27.46°, rel. 22, hkl 0 0 3
d = 3.015 Å, 2θ = 29.63°, rel. 78, hkl 1 0 2
d = 2.479 Å, 2θ = 36.23°, rel. 17, hkl 1 0 3
d = 2.215 Å, 2θ = 40.73°, rel. 16, hkl 1 1 0
d = 2.160 Å, 2θ = 41.82°, rel. 21, hkl 1 1 1
d = 2.057 Å, 2θ = 44.03°, rel. 27, hkl 0 1 4
d = 1.882 Å, 2θ = 48.35°, rel. 19, hkl 0 2 1
d = 1.830 Å, 2θ = 49.82°, rel. 21, hkl 1 1 3
d = 1.785 Å, 2θ = 51.17°, rel. 17, hkl 2 0 2

Atomic structure:
```
data_HgS
_symmetry_space_group_name_H-M 'P 32 2 1'
_symmetry_Int_Tables_number 154
_cell_length_a 4.4307
_cell_length_b 4.4307
_cell_length_c 9.7456
_cell_angle_alpha 90.00
_cell_angle_beta 90.00
_cell_angle_gamma 120.00
loop_
_symmetry_equiv_pos_as_xyz
'x,y,z'
'-y,x-y,z+2/3'
'-x+y,-x,z+1/3'
'y,x,-z'
'x-y,-y,-z+1/3'
'-x,-x+y,-z+2/3'
loop_
_atom_site_label
_atom_site_type_symbol
_atom_site_fract_x
_atom_site_fract_y
_atom_site_fract_z
Hg1 Hg 0.0000 0.2416 0.3333
S1 S 0.0000 0.5435 0.8333
```

---

No. 5
Pr2Pd2Pb: theoretical powder diffraction line list (Cu Kα, 1.54184 Å), based on a DFT-relaxed cell (GGA-PBE, the Materials Project).

Top 10 peaks for 10 to 90 degrees two-theta, in order of rising 2θ:
d = 3.170 Å, 2θ = 28.15°, rel. 14, hkl 1 1 1
d = 2.866 Å, 2θ = 31.21°, rel. 24, hkl 2 2 0
d = 2.774 Å, 2θ = 32.27°, rel. 68, hkl 2 0 1
d = 2.624 Å, 2θ = 34.17°, rel. 100, hkl 2 1 1
d = 2.563 Å, 2θ = 35.01°, rel. 71, hkl 3 1 0
d = 2.126 Å, 2θ = 42.53°, rel. 15, hkl 3 1 1
d = 1.902 Å, 2θ = 47.82°, rel. 19, hkl 0 0 2
d = 1.707 Å, 2θ = 53.68°, rel. 16, hkl 3 3 1
d = 1.527 Å, 2θ = 60.62°, rel. 29, hkl 3 1 2
d = 1.467 Å, 2θ = 63.42°, rel. 23, hkl 5 1 1

Atomic structure:
```
data_Pr2Pd2Pb
_symmetry_space_group_name_H-M 'P 4/m b m'
_symmetry_Int_Tables_number 127
_symmetry_space_group_name_Hall '-P 4 2ab'
_cell_length_a 8.1057
_cell_length_b 8.1057
_cell_length_c 3.8043
_cell_angle_alpha 90.00
_cell_angle_beta 90.00
_cell_angle_gamma 90.00
loop_
_atom_site_label
_atom_site_type_symbol
_atom_site_fract_x
_atom_site_fract_y
_atom_site_fract_z
Pr1 Pr 0.1763 0.3237 0.0000
Pd1 Pd 0.1225 0.6225 0.5000
Pb1 Pb 0.0000 0.0000 0.5000
```

---

No. 6
Dy2Ge6Pd: theoretical powder diffraction line list (Cu Kα, 1.54184 Å), based on a DFT-relaxed cell (GGA-PBE, the Materials Project).

Top 10 peaks for 10 to 90 degrees two-theta, in order of rising 2θ:
d = 3.544 Å, 2θ = 25.12°, rel. 10, hkl 0 2 3
d = 2.712 Å, 2θ = 33.02°, rel. 40, hkl 0 0 8
d = 2.685 Å, 2θ = 33.37°, rel. 100, hkl 2 2 3
d = 2.406 Å, 2θ = 37.38°, rel. 15, hkl 2 2 5
d = 2.072 Å, 2θ = 43.68°, rel. 19, hkl 0 2 9
d = 2.056 Å, 2θ = 44.03°, rel. 23, hkl 4 0 0
d = 2.034 Å, 2θ = 44.55°, rel. 23, hkl 0 4 0
d = 1.628 Å, 2θ = 56.54°, rel. 23, hkl 0 4 8
d = 1.460 Å, 2θ = 63.76°, rel. 15, hkl 4 2 9
d = 1.446 Å, 2θ = 64.43°, rel. 14, hkl 4 4 0

Atomic structure:
```
data_Dy2Ge6Pd
_symmetry_space_group_name_H-M 'C m c e'
_symmetry_Int_Tables_number 64
_symmetry_space_group_name_Hall '-C 2ac 2'
_cell_length_a 8.2258
_cell_length_b 8.1352
_cell_length_c 21.6744
_cell_angle_alpha 90.00
_cell_angle_beta 90.00
_cell_angle_gamma 90.00
loop_
_atom_site_label
_atom_site_type_symbol
_atom_site_fract_x
_atom_site_fract_y
_atom_site_fract_z
Dy1 Dy 0.2486 0.1244 0.0812
Ge1 Ge 0.0000 0.0951 0.3069
Ge2 Ge 0.0000 0.1187 0.5435
Ge3 Ge 0.0000 0.1325 0.9718
Ge4 Ge 0.0000 0.1524 0.1919
Ge5 Ge 0.2228 0.1261 0.6929
Pd1 Pd 0.0000 0.1273 0.8583
```

---

No. 7
Na3Ce: theoretical powder diffraction line list (Cu Kα, 1.54184 Å), based on a DFT-relaxed cell (GGA-PBE, the Materials Project).

Top 10 peaks for 10 to 90 degrees two-theta, in order of rising 2θ:
d = 4.912 Å, 2θ = 18.06°, rel. 64, hkl 1 1 1
d = 4.254 Å, 2θ = 20.88°, rel. 34, hkl 2 0 0
d = 3.008 Å, 2θ = 29.70°, rel. 100, hkl 2 2 0
d = 2.565 Å, 2θ = 34.98°, rel. 37, hkl 3 1 1
d = 2.127 Å, 2θ = 42.51°, rel. 19, hkl 4 0 0
d = 1.952 Å, 2θ = 46.53°, rel. 17, hkl 3 3 1
d = 1.902 Å, 2θ = 47.82°, rel. 16, hkl 4 2 0
d = 1.737 Å, 2θ = 52.71°, rel. 39, hkl 4 2 2
d = 1.345 Å, 2θ = 69.94°, rel. 16, hkl 6 2 0
d = 1.137 Å, 2θ = 85.40°, rel. 18, hkl 6 4 2

Atomic structure:
```
data_Na3Ce
_symmetry_space_group_name_H-M 'F m -3 m'
_symmetry_Int_Tables_number 225
_symmetry_space_group_name_Hall '-F 4 2 3'
_cell_length_a 8.5071
_cell_length_b 8.5071
_cell_length_c 8.5071
_cell_angle_alpha 90.00
_cell_angle_beta 90.00
_cell_angle_gamma 90.00
loop_
_atom_site_label
_atom_site_type_symbol
_atom_site_fract_x
_atom_site_fract_y
_atom_site_fract_z
Na1 Na 0.0000 0.0000 0.0000
Na2 Na 0.2500 0.2500 0.2500
Ce1 Ce 0.0000 0.0000 0.5000
```

---

No. 8
ErCoC: theoretical powder diffraction line list (Cu Kα, 1.54184 Å), based on a DFT-relaxed cell (GGA-PBE, the Materials Project).

Top 10 peaks for 10 to 90 degrees two-theta, in order of rising 2θ:
d = 3.608 Å, 2θ = 24.68°, rel. 31, hkl 0 0 1
d = 3.534 Å, 2θ = 25.20°, rel. 18, hkl 0 1 0
d = 2.524 Å, 2θ = 35.56°, rel. 87, hkl 0 1 1
d = 2.511 Å, 2θ = 35.76°, rel. 86, hkl 1 0 1
d = 2.486 Å, 2θ = 36.13°, rel. 100, hkl 1 1 0
d = 2.047 Å, 2θ = 44.25°, rel. 26, hkl 1 1 1
d = 1.804 Å, 2θ = 50.60°, rel. 19, hkl 0 0 2
d = 1.460 Å, 2θ = 63.75°, rel. 36, hkl 1 1 2
d = 1.445 Å, 2θ = 64.48°, rel. 31, hkl 1 2 1
d = 1.437 Å, 2θ = 64.86°, rel. 30, hkl 2 1 1

Atomic structure:
```
data_ErCoC
_symmetry_space_group_name_H-M 'P m m m'
_symmetry_Int_Tables_number 47
_cell_length_a 3.4974
_cell_length_b 3.5338
_cell_length_c 3.6075
_cell_angle_alpha 90.00
_cell_angle_beta 90.00
_cell_angle_gamma 90.00
loop_
_symmetry_equiv_pos_as_xyz
'x,y,z'
'-x,-y,-z'
'-x,-y,z'
'x,y,-z'
'x,-y,-z'
'-x,y,z'
'-x,y,-z'
'x,-y,z'
loop_
_atom_site_label
_atom_site_type_symbol
_atom_site_fract_x
_atom_site_fract_y
_atom_site_fract_z
Er1 Er 0.0000 0.0000 0.0000
Co1 Co 0.5000 0.5000 0.5000
C1 C 0.5000 0.5000 0.0000
```

---

No. 9
LiBeH3: theoretical powder diffraction line list (Cu Kα, 1.54184 Å), based on a DFT-relaxed cell (GGA-PBE, the Materials Project).

Top 10 peaks for 10 to 90 degrees two-theta, in order of rising 2θ:
d = 5.081 Å, 2θ = 17.45°, rel. 41, hkl 2 0 0
d = 4.329 Å, 2θ = 20.51°, rel. 62, hkl 1 1 1
d = 3.219 Å, 2θ = 27.71°, rel. 31, hkl 2 0 2
d = 2.767 Å, 2θ = 32.36°, rel. 72, hkl 3 1 1
d = 2.758 Å, 2θ = 32.46°, rel. 35, hkl 0 2 1
d = 2.396 Å, 2θ = 37.54°, rel. 100, hkl 0 2 2
d = 2.081 Å, 2θ = 43.50°, rel. 30, hkl 0 0 4
d = 1.696 Å, 2θ = 54.07°, rel. 27, hkl 6 0 0
d = 1.690 Å, 2θ = 54.29°, rel. 22, hkl 3 3 0
d = 1.253 Å, 2θ = 75.91°, rel. 25, hkl 0 2 6

Atomic structure:
```
data_LiBeH3
_symmetry_space_group_name_H-M 'C m c m'
_symmetry_Int_Tables_number 63
_symmetry_space_group_name_Hall '-C 2c 2'
_cell_length_a 10.1731
_cell_length_b 5.8469
_cell_length_c 8.3226
_cell_angle_alpha 90.00
_cell_angle_beta 90.00
_cell_angle_gamma 90.00
loop_
_atom_site_label
_atom_site_type_symbol
_atom_site_fract_x
_atom_site_fract_y
_atom_site_fract_z
Li1 Li 0.0000 0.0000 0.0000
Li2 Li 0.1719 0.5000 0.0000
Be1 Be 0.0000 0.4196 0.2500
Be2 Be 0.1224 0.2121 0.7500
H1 H 0.0000 0.0906 0.7500
H2 H 0.0000 0.3084 0.0992
H3 H 0.1218 0.4574 0.7500
H4 H 0.1786 0.1557 0.6016
```

---

No. 10
Zr2N2O: theoretical powder diffraction line list (Cu Kα, 1.54184 Å), based on a DFT-relaxed cell (GGA-PBE, the Materials Project).

Top 10 peaks for 10 to 90 degrees two-theta, in order of rising 2θ:
d = 4.034 Å, 2θ = 22.03°, rel. 18, hkl 1 3 -1
d = 2.934 Å, 2θ = 30.47°, rel. 100, hkl 1 3 1
d = 2.778 Å, 2θ = 32.22°, rel. 88, hkl 3 3 -1
d = 2.017 Å, 2θ = 44.94°, rel. 39, hkl 4 0 0
d = 1.845 Å, 2θ = 49.40°, rel. 31, hkl 0 6 2
d = 1.727 Å, 2θ = 53.01°, rel. 12, hkl 2 0 2
d = 1.632 Å, 2θ = 56.37°, rel. 37, hkl 4 6 0
d = 1.604 Å, 2θ = 57.46°, rel. 28, hkl 6 0 -2
d = 1.415 Å, 2θ = 66.01°, rel. 11, hkl 1 3 3
d = 1.148 Å, 2θ = 84.35°, rel. 9, hkl 4 6 2

Atomic structure:
```
data_Zr2N2O
_symmetry_space_group_name_H-M 'C 1 2/c 1'
_symmetry_Int_Tables_number 15
_cell_length_a 9.6323
_cell_length_b 16.6508
_cell_length_c 5.8846
_cell_angle_alpha 90.00
_cell_angle_beta 122.99
_cell_angle_gamma 90.00
loop_
_symmetry_equiv_pos_as_xyz
'x,y,z'
'-x,-y,-z'
'-x,y,-z+1/2'
'x,-y,z+1/2'
'x+1/2,y+1/2,z'
'-x+1/2,-y+1/2,-z'
'-x+1/2,y+1/2,-z+1/2'
'x+1/2,-y+1/2,z+1/2'
loop_
_atom_site_label
_atom_site_type_symbol
_atom_site_fract_x
_atom_site_fract_y
_atom_site_fract_z
Zr1 Zr 0.1047 0.0817 0.0608
Zr2 Zr 0.1088 0.2503 0.5740
Zr3 Zr 0.1109 0.4185 0.0868
N1 N 0.0000 0.1833 0.7500
N2 N 0.0000 0.4862 0.2500
N3 N 0.1477 0.0337 0.7445
N4 N 0.1508 0.2998 0.2516
O1 O 0.0000 0.1485 0.2500
O2 O 0.1496 0.3659 0.7530
```

---

No. 11
Ba3Ac: theoretical powder diffraction line list (Cu Kα, 1.54184 Å), based on a DFT-relaxed cell (GGA-PBE, the Materials Project).

Top 10 peaks for 10 to 90 degrees two-theta, in order of rising 2θ:
d = 3.780 Å, 2θ = 23.54°, rel. 23, hkl 2 0 0
d = 3.468 Å, 2θ = 25.69°, rel. 25, hkl 0 0 2
d = 3.319 Å, 2θ = 26.86°, rel. 100, hkl 2 0 1
d = 2.555 Å, 2θ = 35.12°, rel. 17, hkl 2 0 2
d = 2.182 Å, 2θ = 41.38°, rel. 21, hkl 2 2 0
d = 1.972 Å, 2θ = 46.02°, rel. 23, hkl 2 0 3
d = 1.847 Å, 2θ = 49.34°, rel. 25, hkl 2 2 2
d = 1.823 Å, 2θ = 50.03°, rel. 18, hkl 4 0 1
d = 1.399 Å, 2θ = 66.87°, rel. 15, hkl 4 2 1
d = 1.215 Å, 2θ = 78.75°, rel. 10, hkl 4 2 3

Atomic structure:
```
data_Ba3Ac
_symmetry_space_group_name_H-M 'P 63/m m c'
_symmetry_Int_Tables_number 194
_symmetry_space_group_name_Hall '-P 6c 2c'
_cell_length_a 8.7284
_cell_length_b 8.7284
_cell_length_c 6.9356
_cell_angle_alpha 90.00
_cell_angle_beta 90.00
_cell_angle_gamma 120.00
loop_
_atom_site_label
_atom_site_type_symbol
_atom_site_fract_x
_atom_site_fract_y
_atom_site_fract_z
Ba1 Ba 0.1707 0.3413 0.2500
Ac1 Ac 0.3333 0.6667 0.7500
```

---

No. 12
Tb2Si3: theoretical powder diffraction line list (Cu Kα, 1.54184 Å), based on a DFT-relaxed cell (GGA-PBE, the Materials Project).

Top 10 peaks for 10 to 90 degrees two-theta, in order of rising 2θ:
d = 3.982 Å, 2θ = 22.33°, rel. 19, hkl 0 0 2
d = 3.451 Å, 2θ = 25.82°, rel. 60, hkl 1 0 0
d = 2.608 Å, 2θ = 34.39°, rel. 100, hkl 1 0 2
d = 1.992 Å, 2θ = 45.54°, rel. 38, hkl 1 1 0
d = 1.782 Å, 2θ = 51.27°, rel. 13, hkl 1 1 2
d = 1.725 Å, 2θ = 53.10°, rel. 25, hkl 2 0 0
d = 1.583 Å, 2θ = 58.28°, rel. 22, hkl 2 0 2
d = 1.408 Å, 2θ = 66.38°, rel. 18, hkl 1 1 4
d = 1.304 Å, 2θ = 72.48°, rel. 13, hkl 2 1 0
d = 1.239 Å, 2θ = 76.93°, rel. 29, hkl 2 1 2

Atomic structure:
```
data_Tb2Si3
_symmetry_space_group_name_H-M 'P -6 m 2'
_symmetry_Int_Tables_number 187
_symmetry_space_group_name_Hall 'P -6 2'
_cell_length_a 3.9849
_cell_length_b 3.9849
_cell_length_c 7.9636
_cell_angle_alpha 90.00
_cell_angle_beta 90.00
_cell_angle_gamma 120.00
loop_
_atom_site_label
_atom_site_type_symbol
_atom_site_fract_x
_atom_site_fract_y
_atom_site_fract_z
Tb1 Tb 0.0000 0.0000 0.2447
Si1 Si 0.3333 0.6667 0.5000
Si2 Si 0.6667 0.3333 0.0000
Si3 Si 0.6667 0.3333 0.5000
```